No. 1
Starting from a cell relaxed with PBE+U, the X-ray diffraction stick pattern of LiMoP4O13 was calculated for copper Kα.

Structure:
```
LiMoP4O13
1.0
5.208 0.000 0.000
1.347 7.934 0.000
1.910 1.781 14.155
Li Mo P O
2 2 8 26
direct
0.000 0.000 0.000
0.424 0.855 0.486
0.432 0.432 0.246
0.586 0.315 0.729
0.012 0.261 0.144
0.168 0.146 0.627
0.291 0.042 0.288
0.364 0.952 0.803
0.659 0.801 0.172
0.723 0.705 0.694
0.850 0.599 0.346
0.998 0.474 0.838
0.033 0.117 0.238
0.093 0.182 0.056
0.150 0.522 0.337
0.166 0.400 0.163
0.179 0.008 0.720
0.208 0.929 0.896
0.249 0.907 0.367
0.251 0.064 0.540
0.297 0.397 0.819
0.328 0.286 0.642
0.405 0.196 0.310
0.470 0.668 0.180
0.490 0.975 0.201
0.520 0.772 0.781
0.565 0.076 0.792
0.601 0.555 0.670
0.706 0.455 0.325
0.713 0.336 0.157
0.742 0.670 0.435
0.775 0.837 0.615
0.808 0.844 0.080
0.845 0.335 0.814
0.846 0.740 0.254
0.873 0.231 0.637
0.917 0.534 0.930
0.975 0.623 0.747
```

The 10 most intense peaks (10 to 90 degrees two-theta), by angle:
2θ/deg  I_rel  index
11.2  13  0 1 0
12.5  100  0 0 2
17.9  14  0 1 -2
20.3  12  1 0 2
23.2  10  -1 1 1
25.8  11  -1 1 2
26.4  11  1 2 0
27.2  17  1 2 2
29.0  12  1 0 4
29.6  9  -1 1 3


No. 2
Starting from a cell relaxed with PBE+U, the X-ray diffraction stick pattern of LiMoP2O7 was calculated for copper Kα.

Structure:
```
LiMoP2O7
1.0
8.535 0.000 0.000
0.000 5.078 0.000
-5.930 0.000 12.402
Li Mo P O
4 4 8 28
direct
0.080 0.241 0.198
0.080 0.259 0.698
0.920 0.741 0.302
0.920 0.759 0.802
0.232 0.245 0.970
0.232 0.255 0.470
0.768 0.745 0.530
0.768 0.755 0.030
0.199 0.738 0.120
0.199 0.762 0.620
0.324 0.738 0.353
0.324 0.762 0.853
0.676 0.238 0.147
0.676 0.262 0.647
0.801 0.238 0.380
0.801 0.262 0.880
0.033 0.643 0.621
0.033 0.857 0.121
0.182 0.060 0.597
0.182 0.440 0.097
0.184 0.569 0.856
0.184 0.931 0.356
0.253 0.047 0.840
0.253 0.453 0.340
0.265 0.614 0.550
0.265 0.886 0.050
0.343 0.710 0.742
0.343 0.790 0.242
0.499 0.212 0.559
0.499 0.288 0.059
0.501 0.712 0.941
0.501 0.788 0.441
0.657 0.210 0.758
0.657 0.290 0.258
0.735 0.114 0.950
0.735 0.386 0.450
0.747 0.547 0.660
0.747 0.953 0.160
0.816 0.069 0.644
0.816 0.431 0.144
0.818 0.560 0.903
0.818 0.940 0.403
0.967 0.143 0.879
0.967 0.357 0.379
```

The 10 most intense peaks (10 to 90 degrees two-theta), by angle:
2θ/deg  I_rel  index
14.3  49  0 0 2
22.4  100  1 1 -2
23.1  64  2 0 0
28.2  11  1 1 2
31.4  36  1 1 -4
32.2  13  2 0 2
33.9  10  0 1 4
35.4  18  0 2 0
36.2  18  3 1 -2
43.6  13  3 0 2


No. 3
Starting from a cell relaxed with PBE+U, the X-ray diffraction stick pattern of LiMoP2O8 was calculated for copper Kα.

Structure:
```
LiMoP2O8
1.0
5.299 0.000 0.000
0.000 10.900 0.000
0.000 0.000 11.470
Li Mo P O
4 4 8 32
direct
0.246 0.234 0.394
0.254 0.766 0.894
0.746 0.266 0.606
0.754 0.734 0.106
0.236 0.405 0.147
0.264 0.595 0.647
0.736 0.095 0.853
0.764 0.905 0.353
0.240 0.140 0.669
0.241 0.091 0.043
0.259 0.909 0.543
0.260 0.860 0.169
0.740 0.360 0.331
0.741 0.409 0.957
0.759 0.591 0.457
0.760 0.640 0.831
0.007 0.558 0.517
0.023 0.671 0.780
0.031 0.953 0.472
0.045 0.827 0.254
0.217 0.802 0.053
0.243 0.777 0.580
0.244 0.454 0.711
0.249 0.010 0.161
0.251 0.990 0.661
0.256 0.546 0.211
0.257 0.223 0.080
0.283 0.198 0.553
0.455 0.173 0.754
0.469 0.047 0.972
0.477 0.329 0.280
0.493 0.442 0.017
0.507 0.942 0.483
0.523 0.829 0.220
0.531 0.547 0.528
0.545 0.673 0.746
0.717 0.698 0.947
0.743 0.723 0.420
0.744 0.046 0.289
0.749 0.490 0.839
0.751 0.510 0.339
0.756 0.954 0.789
0.757 0.277 0.920
0.783 0.302 0.447
0.955 0.327 0.246
0.969 0.453 0.028
0.977 0.171 0.720
0.993 0.058 0.983
```

The 10 most intense peaks (10 to 90 degrees two-theta), by angle:
2θ/deg  I_rel  index
11.2  26  0 1 1
17.5  9  0 1 2
18.0  70  0 2 1
22.9  100  1 0 2
24.3  13  1 1 2
24.7  9  1 2 1
25.7  26  0 3 1
33.2  33  1 2 3
33.8  15  2 0 0
55.6  13  2 2 5


No. 4
Starting from a cell relaxed with PBE+U, the X-ray diffraction stick pattern of Li3MoP2O8 was calculated for copper Kα.

Structure:
```
Li3MoP2O8
1.0
5.046 0.000 0.000
0.000 18.307 0.000
-4.767 0.000 6.336
Li Mo P O
12 4 8 32
direct
0.003 0.056 0.214
0.003 0.444 0.714
0.279 0.116 0.999
0.279 0.384 0.499
0.372 0.701 0.686
0.372 0.799 0.186
0.628 0.201 0.814
0.628 0.299 0.314
0.721 0.616 0.501
0.721 0.884 0.001
0.997 0.556 0.286
0.997 0.944 0.786
0.178 0.627 0.983
0.178 0.873 0.483
0.822 0.127 0.517
0.822 0.373 0.017
0.120 0.215 0.293
0.120 0.285 0.793
0.485 0.536 0.767
0.485 0.964 0.267
0.515 0.036 0.733
0.515 0.464 0.233
0.880 0.715 0.207
0.880 0.785 0.707
0.046 0.173 0.103
0.046 0.327 0.603
0.158 0.200 0.772
0.158 0.300 0.272
0.161 0.702 0.182
0.161 0.798 0.682
0.179 0.559 0.762
0.179 0.941 0.262
0.187 0.064 0.528
0.187 0.436 0.028
0.437 0.565 0.571
0.437 0.935 0.071
0.460 0.192 0.499
0.460 0.308 0.999
0.479 0.051 0.268
0.479 0.449 0.768
0.521 0.551 0.232
0.521 0.949 0.732
0.540 0.692 0.001
0.540 0.808 0.501
0.563 0.065 0.929
0.563 0.435 0.429
0.813 0.564 0.972
0.813 0.936 0.472
0.821 0.059 0.738
0.821 0.441 0.238
0.839 0.202 0.318
0.839 0.298 0.818
0.842 0.700 0.728
0.842 0.800 0.228
0.954 0.673 0.397
0.954 0.827 0.897
```

The 10 most intense peaks (10 to 90 degrees two-theta), by angle:
2θ/deg  I_rel  index
14.8  89  0 1 1
20.2  69  0 3 1
23.5  29  1 1 -2
24.0  18  0 4 1
24.1  27  1 2 0
25.0  25  1 2 -2
26.5  25  1 3 0
34.2  20  1 2 1
34.4  100  0 4 2
45.5  18  1 6 -3